Record 1
Structure and simulated X-ray powder pattern of PrF3 (the PBE geometry in OQMD; a wavelength of 1.5418 Å).
Intensities are scaled so that the largest is 100.

Structural model:
```
PrF3
1.0
2.6772 1.5457 4.9674
-2.6772 1.5457 4.9674
0.0000 -3.0913 4.9674
Pr F
2 6
Direct
0.0000 0.0000 0.0000
0.5000 0.5000 0.5000
0.0450 0.7500 0.4550
0.2500 0.5450 0.9550
0.4550 0.0450 0.7500
0.5450 0.9550 0.2500
0.7500 0.4550 0.0450
0.9550 0.2500 0.5450
```

Largest 10 diffraction maxima, sorted by position, 5° ≤ 2θ ≤ 70°:
22.6 deg, I = 100
30.8 deg, I = 59
33.5 deg, I = 27
40.8 deg, I = 29
46.1 deg, I = 14
50.1 deg, I = 37
53.0 deg, I = 13
53.7 deg, I = 24
58.2 deg, I = 16
59.8 deg, I = 13

Record 2
Structure and simulated X-ray powder pattern of PrF3 (the PBE geometry in OQMD; a wavelength of 1.5418 Å).
Intensities are scaled so that the largest is 100.

Structural model:
```
PrF3
1.0
5.9272 0.0000 0.0000
0.0000 3.7681 0.0000
-2.9588 0.0000 5.1378
Pr F
2 6
Direct
0.1666 0.2500 0.3334
0.8334 0.7500 0.6666
0.1068 0.2500 0.9102
0.1965 0.7500 0.6067
0.4103 0.7500 0.3035
0.5897 0.2500 0.6965
0.8036 0.2500 0.3933
0.8932 0.7500 0.0898
```

Largest 10 diffraction maxima, sorted by position, 5° ≤ 2θ ≤ 70°:
17.3 deg, I = 97
29.4 deg, I = 100
30.1 deg, I = 60
34.9 deg, I = 15
42.6 deg, I = 71
46.8 deg, I = 11
48.3 deg, I = 15
53.1 deg, I = 61
53.5 deg, I = 22
58.0 deg, I = 20

Record 3
Structure and simulated X-ray powder pattern of PrZr2F11 (the PBE geometry in OQMD; a wavelength of 1.5418 Å).
Intensities are scaled so that the largest is 100.

Structural model:
```
PrZr2F11
1.0
-3.8720 5.0111 5.2681
3.8720 -5.0111 5.2681
3.8720 5.0111 -5.2681
Pr Zr F
2 4 22
Direct
0.2500 0.2500 0.0000
0.7500 0.7500 0.0000
0.1795 0.6313 0.8108
0.3205 0.1313 0.4518
0.6795 0.8687 0.5482
0.8205 0.3687 0.1892
0.0000 0.5000 0.5000
0.0440 0.9600 0.2937
0.0620 0.3699 0.1679
0.1663 0.4600 0.9160
0.2020 0.8941 0.8321
0.2184 0.3682 0.5865
0.2816 0.8682 0.1498
0.2980 0.1301 0.6921
0.3337 0.2497 0.2937
0.4380 0.6059 0.3079
0.4560 0.7497 0.9160
0.5000 0.0000 0.5000
0.5440 0.2503 0.0840
0.5620 0.3941 0.6921
0.6663 0.7503 0.7063
0.7020 0.8699 0.3079
0.7184 0.1318 0.8502
0.7816 0.6318 0.4135
0.7980 0.1059 0.1679
0.8337 0.5400 0.0840
0.9380 0.6301 0.8321
0.9560 0.0400 0.7063
```

Largest 10 diffraction maxima, sorted by position, 5° ≤ 2θ ≤ 70°:
14.5 deg, I = 21
22.3 deg, I = 100
22.8 deg, I = 25
24.5 deg, I = 54
26.1 deg, I = 37
29.1 deg, I = 25
45.4 deg, I = 42
47.8 deg, I = 26
50.1 deg, I = 21
50.5 deg, I = 16